For LaHoO3, a crystal structure in OQMD, relaxed with GGA-PBE gives the calculated powder XRD pattern in this record (Cu Kα (λ = 1.5418 Å)).
Peak positions follow from Bragg's law for the DFT cell and can differ from measured ones.

Structural model:
```
LaHoO3
1.0
2.973 1.717 5.137
-2.973 1.717 5.137
0.000 -3.433 5.137
La Ho O
2 2 6
Direct
0.133 0.133 0.133
0.867 0.867 0.867
0.354 0.354 0.354
0.646 0.646 0.646
0.047 0.727 0.468
0.273 0.532 0.953
0.468 0.047 0.727
0.532 0.953 0.273
0.727 0.468 0.047
0.953 0.273 0.532
```

Main lines, by angle (2θ from 5° to 70°):
20.75 deg, rel. 14; 28.94 deg, rel. 100; 30.05 deg, rel. 97; 42.21 deg, rel. 42; 46.74 deg, rel. 24; 50.59 deg, rel. 14; 52.69 deg, rel. 42; 53.37 deg, rel. 28; 62.47 deg, rel. 13; 68.54 deg, rel. 10



For LaHoO4, a crystal structure in OQMD, relaxed with GGA-PBE gives the calculated powder XRD pattern in this record (Cu Kα (λ = 1.5418 Å)).
Peak positions follow from Bragg's law for the DFT cell and can differ from measured ones.

Structural model:
```
LaHoO4
1.0
3.345 -1.948 0.000
3.345 1.948 0.000
-0.866 0.000 6.328
La Ho O
1 1 4
Direct
0.000 0.000 0.000
0.607 0.607 0.538
0.214 0.214 0.353
0.377 0.377 0.215
0.649 0.649 0.892
0.949 0.949 0.611
```

Main lines, by angle (2θ from 5° to 70°):
26.90 deg, rel. 35; 28.20 deg, rel. 45; 29.24 deg, rel. 100; 30.99 deg, rel. 37; 32.14 deg, rel. 21; 46.63 deg, rel. 19; 47.30 deg, rel. 23; 49.42 deg, rel. 28; 52.78 deg, rel. 23; 55.39 deg, rel. 20



For LaHoTeO2, a crystal structure in OQMD, relaxed with GGA-PBE gives the calculated powder XRD pattern in this record (Cu Kα (λ = 1.5418 Å)).
Peak positions follow from Bragg's law for the DFT cell and can differ from measured ones.

Structural model:
```
LaHoTeO2
1.0
-2.000 2.000 6.370
2.000 -2.000 6.370
2.000 2.000 -6.370
La Ho Te O
1 1 1 2
Direct
0.000 0.000 0.000
0.680 0.680 0.000
0.339 0.339 0.000
0.099 0.599 0.500
0.599 0.099 0.500
```

Main lines, by angle (2θ from 5° to 70°):
13.90 deg, rel. 2; 30.70 deg, rel. 100; 31.63 deg, rel. 39; 42.58 deg, rel. 9; 42.75 deg, rel. 2; 45.34 deg, rel. 20; 54.00 deg, rel. 22; 55.75 deg, rel. 37; 63.94 deg, rel. 10; 66.05 deg, rel. 6